Record 1
This entry pairs a crystal structure of Nd2BeSi3Ni12 with its theoretical powder diffractogram. Radiation: Cu Kα (λ = 1.5418 Å). Structure: a cell relaxed with GGA-PBE.
Neutral-atom scattering factors, no anomalous dispersion.

Atomic structure:
abc: 6.2239 6.2239 22.8498
angles: 90.00 90.00 120.00
Space group R-3m (No. 166, hexagonal axes)
Asymmetric unit:
Nd (0.0000, 0.0000, 0.1573)
Be (0.0000, 0.0000, 0.5000)
Si (0.0000, 0.5000, 0.0000)
Ni (0.0641, 0.5321, 0.6206)
Ni (0.0656, 0.5328, 0.0991)

Peak list (10 most intense, 10 to 90 degrees two-theta, in order of rising 2θ)
2θ (°)	I/Imax
31.04	79
32.06	33
35.57	24
36.88	100
37.32	43
42.99	39
45.21	62
46.32	23
56.65	46
59.40	32

Record 2
This entry pairs a crystal structure of NdBeO3 with its theoretical powder diffractogram. Radiation: Cu Kα (λ = 1.5418 Å). Structure: a cell relaxed with GGA-PBE.
Neutral-atom scattering factors, no anomalous dispersion.

Atomic structure:
abc: 3.658 6.972 5.522
angles: 90.00 90.00 90.00
Space group Pmmn (No. 59, origin choice 2)
Asymmetric unit:
Nd (0.250, 0.250, 0.081)
Be (0.250, 0.750, 0.387)
O (0.250, 0.594, 0.185)
O (0.250, 0.750, 0.656)

Peak list (10 most intense, 10 to 90 degrees two-theta, in order of rising 2θ)
2θ (°)	I/Imax
16.05	100
20.52	28
25.55	52
27.53	36
29.28	26
30.32	31
32.03	85
40.95	29
49.30	32
51.36	26

Record 3
This entry pairs a crystal structure of NdPaBe with its theoretical powder diffractogram. Radiation: Cu Kα (λ = 1.5418 Å). Structure: a cell relaxed with GGA-PBE.
Neutral-atom scattering factors, no anomalous dispersion.

Atomic structure:
abc: 5.698 9.266 20.478
angles: 90.00 90.00 90.00
Space group Fddd (No. 70, origin choice 2)
Asymmetric unit:
Nd (0.125, 0.301, 0.125)
Pa (0.125, 0.125, 0.538)
Be (0.125, 0.125, 0.002)

Peak list (10 most intense, 10 to 90 degrees two-theta, in order of rising 2θ)
2θ (°)	I/Imax
18.79	35
28.52	64
32.60	100
33.29	66
35.84	29
41.17	33
55.24	13
57.11	14
58.00	18
60.28	15

Record 4
This entry pairs a crystal structure of Nd3Be6Pd20 with its theoretical powder diffractogram. Radiation: Cu Kα (λ = 1.5418 Å). Structure: a cell relaxed with GGA-PBE.
Neutral-atom scattering factors, no anomalous dispersion.

Atomic structure:
abc: 12.081 12.081 12.081
angles: 90.00 90.00 90.00
Space group Fm-3m (No. 225)
Asymmetric unit:
Nd (0.000, 0.000, 0.000)
Nd (0.250, 0.250, 0.250)
Be (0.000, 0.000, 0.273)
Pd (0.000, 0.171, 0.171)
Pd (0.115, 0.115, 0.385)

Peak list (10 most intense, 10 to 90 degrees two-theta, in order of rising 2θ)
2θ (°)	I/Imax
33.16	27
36.43	37
38.73	100
42.32	23
44.36	22
63.50	9
65.57	30
67.10	15
77.40	17
78.83	10

Record 5
This entry pairs a crystal structure of Nd2BePd6 with its theoretical powder diffractogram. Radiation: Cu Kα (λ = 1.5418 Å). Structure: a cell relaxed with GGA-PBE.
Neutral-atom scattering factors, no anomalous dispersion.

Atomic structure:
abc: 10.346 6.031 6.073
angles: 90.00 123.32 90.00
Space group C2/m (No. 12)
Asymmetric unit:
Nd (0.249, 0.000, 0.240)
Be (0.000, 0.500, 0.000)
Pd (0.004, 0.239, 0.267)
Pd (0.238, 0.000, 0.730)

Peak list (10 most intense, 10 to 90 degrees two-theta, in order of rising 2θ)
2θ (°)	I/Imax
35.37	52
36.32	100
36.96	48
41.79	34
42.26	66
59.87	22
62.01	21
72.73	12
72.99	12
74.15	17

Record 6
This entry pairs a crystal structure of NdBePd6 with its theoretical powder diffractogram. Radiation: Cu Kα (λ = 1.5418 Å). Structure: a cell relaxed with GGA-PBE.
Neutral-atom scattering factors, no anomalous dispersion.

Atomic structure:
abc: 8.9169 8.9169 5.9055
angles: 90.00 90.00 120.00
Space group R-3m (No. 166, hexagonal axes)
Asymmetric unit:
Nd (0.0000, 0.0000, 0.0000)
Be (0.0000, 0.0000, 0.5000)
Pd (0.0415, 0.5207, 0.2805)

Peak list (10 most intense, 10 to 90 degrees two-theta, in order of rising 2θ)
2θ (°)	I/Imax
32.46	39
34.27	100
38.38	43
40.46	97
43.60	59
62.12	26
62.99	20
67.98	15
68.57	15
76.80	20

Record 7
This entry pairs a crystal structure of Nd2Be4PdPt3 with its theoretical powder diffractogram. Radiation: Cu Kα (λ = 1.5418 Å). Structure: a cell relaxed with GGA-PBE.
Neutral-atom scattering factors, no anomalous dispersion.

Atomic structure:
abc: 4.081 4.081 9.654
angles: 90.00 90.00 90.00
Space group P-4m2 (No. 115)
Asymmetric unit:
Nd (0.000, 0.500, 0.248)
Be (0.000, 0.000, 0.000)
Be (0.000, 0.500, 0.623)
Be (0.500, 0.500, 0.000)
Pd (0.000, 0.000, 0.500)
Pt (0.000, 0.500, 0.876)
Pt (0.500, 0.500, 0.500)

Peak list (10 most intense, 10 to 90 degrees two-theta, in order of rising 2θ)
2θ (°)	I/Imax
27.72	37
28.64	61
30.99	25
32.38	100
35.53	86
36.27	84
44.40	68
52.42	26
53.15	25
58.10	42

Record 8
This entry pairs a crystal structure of NdBePt2 with its theoretical powder diffractogram. Radiation: Cu Kα (λ = 1.5418 Å). Structure: a cell relaxed with GGA-PBE.
Neutral-atom scattering factors, no anomalous dispersion.

Atomic structure:
abc: 3.999 17.407 4.156
angles: 90.00 90.00 90.00
Space group Cmcm (No. 63)
Asymmetric unit:
Nd (0.000, 0.105, 0.250)
Be (0.000, 0.316, 0.250)
Pt (0.000, 0.250, 0.750)
Pt (0.000, 0.449, 0.250)

Peak list (10 most intense, 10 to 90 degrees two-theta, in order of rising 2θ)
2θ (°)	I/Imax
27.08	10
30.82	19
34.76	100
37.82	14
43.55	17
45.36	15
52.56	9
64.70	10
74.28	11
76.88	10

Record 9
This entry pairs a crystal structure of NdBe2Pt8 with its theoretical powder diffractogram. Radiation: Cu Kα (λ = 1.5418 Å). Structure: a cell relaxed with GGA-PBE.
Neutral-atom scattering factors, no anomalous dispersion.

Atomic structure:
abc: 5.309 5.309 7.684
angles: 90.00 90.00 90.00
Space group P4/mmm (No. 123)
Asymmetric unit:
Nd (0.000, 0.000, 0.000)
Be (0.000, 0.500, 0.500)
Pt (0.253, 0.253, 0.303)

Peak list (10 most intense, 10 to 90 degrees two-theta, in order of rising 2θ)
2θ (°)	I/Imax
11.52	41
23.15	66
33.77	89
35.03	44
35.79	33
41.34	100
48.50	49
49.45	44
61.22	35
70.85	31

Record 10
This entry pairs a crystal structure of NdBe3Pt3 with its theoretical powder diffractogram. Radiation: Cu Kα (λ = 1.5418 Å). Structure: a cell relaxed with GGA-PBE.
Neutral-atom scattering factors, no anomalous dispersion.

Atomic structure:
abc: 6.196 6.196 6.196
angles: 90.00 90.00 90.00
Space group Pm-3n (No. 223)
Asymmetric unit:
Nd (0.000, 0.000, 0.000)
Be (0.000, 0.250, 0.500)
Pt (0.000, 0.500, 0.250)

Peak list (10 most intense, 10 to 90 degrees two-theta, in order of rising 2θ)
2θ (°)	I/Imax
28.82	29
32.31	100
35.49	67
51.06	14
53.31	25
55.49	37
59.70	17
69.53	23
84.14	21
89.47	12

Record 11
This entry pairs a crystal structure of Nd2BeSiPt6 with its theoretical powder diffractogram. Radiation: Cu Kα (λ = 1.5418 Å). Structure: a cell relaxed with GGA-PBE.
Neutral-atom scattering factors, no anomalous dispersion.

Atomic structure:
abc: 5.8264 5.8264 18.7690
angles: 90.00 90.00 120.00
Space group R-3m (No. 166, hexagonal axes)
Asymmetric unit:
Nd (0.0000, 0.0000, 0.2156)
Be (0.0000, 0.0000, 0.0000)
Si (0.0000, 0.0000, 0.5000)
Pt (0.0160, 0.5080, 0.2654)

Peak list (10 most intense, 10 to 90 degrees two-theta, in order of rising 2θ)
2θ (°)	I/Imax
28.53	36
29.66	23
33.95	13
36.89	100
40.60	69
53.32	13
59.48	12
63.91	23
71.44	16
76.13	15

Record 12
This entry pairs a crystal structure of NdBe2SiRh2 with its theoretical powder diffractogram. Radiation: Cu Kα (λ = 1.5418 Å). Structure: a cell relaxed with GGA-PBE.
Neutral-atom scattering factors, no anomalous dispersion.

Atomic structure:
abc: 4.100 4.100 5.658
angles: 90.00 90.00 90.00
Space group P4/mmm (No. 123)
Asymmetric unit:
Nd (0.000, 0.000, 0.000)
Be (0.000, 0.500, 0.500)
Si (0.000, 0.000, 0.500)
Rh (0.500, 0.500, 0.259)

Peak list (10 most intense, 10 to 90 degrees two-theta, in order of rising 2θ)
2θ (°)	I/Imax
26.86	29
30.85	88
34.77	12
38.67	100
44.18	36
60.14	54
64.27	12
72.98	14
74.66	13
77.59	13

Record 13
This entry pairs a crystal structure of Nd2BeSiRh6 with its theoretical powder diffractogram. Radiation: Cu Kα (λ = 1.5418 Å). Structure: a cell relaxed with GGA-PBE.
Neutral-atom scattering factors, no anomalous dispersion.

Atomic structure:
abc: 6.221 6.239 8.806
angles: 90.00 90.00 90.00
Space group Immm (No. 71)
Asymmetric unit:
Nd (0.000, 0.000, 0.250)
Be (0.000, 0.500, 0.000)
Si (0.000, 0.500, 0.500)
Rh (0.000, 0.500, 0.243)
Rh (0.243, 0.257, 0.000)

Peak list (10 most intense, 10 to 90 degrees two-theta, in order of rising 2θ)
2θ (°)	I/Imax
28.66	4
35.30	100
40.98	57
59.25	6
59.37	31
70.93	19
71.02	19
74.57	6
74.73	6
88.88	6